No. 1
The following is a computed X-ray diffraction stick pattern of UMoP2. It was derived from a cell relaxed with PBE, using copper Kα.
No peak broadening, texture or thermal motion is included.

The 10 most intense peaks (2θ = 15–90°), low angle first:
2θ (°)	Rel. int.	hkl
25.3	59.0	0 0 6
30.7	84.3	1 0 1
31.5	75.3	0 1 2
34.9	40.7	1 0 4
37.2	100.0	0 1 5
42.9	70.6	1 0 7
53.9	46.6	1 1 0
57.3	22.5	0 1 11
60.5	34.0	1 1 6
78.2	28.7	1 1 12

Crystal structure
Unit cell a=3.3996 b=3.3996 c=21.0992 alpha=90.00 beta=90.00 gamma=120.00
Space group R3m (No. 160, hexagonal axes)
Symmetry-distinct sites (fractional):
U 0.0000 0.0000 0.0000 x3
Mo 0.0000 0.0000 0.8306 x3
P 0.0000 0.0000 0.4281 x3
P 0.0000 0.0000 0.5699 x3

No. 2
The following is a computed X-ray diffraction stick pattern of Pa3Mo. It was derived from a cell relaxed with PBE, using copper Kα.
No peak broadening, texture or thermal motion is included.

The 10 most intense peaks (2θ = 15–90°), low angle first:
2θ (°)	Rel. int.	hkl
28.1	14.9	1 1 0
31.2	39.6	0 3 1
31.4	27.1	1 0 1
32.9	15.9	0 0 2
35.6	19.9	0 4 0
36.2	100.0	1 2 1
37.6	37.4	0 2 2
51.1	14.8	1 3 2
57.8	16.8	1 0 3
69.7	15.7	0 5 3

Crystal structure
Unit cell a=3.3420 b=10.0970 c=5.4408 alpha=90.00 beta=90.00 gamma=90.00
Space group Imm2 (No. 44)
Symmetry-distinct sites (fractional):
Pa 0.0000 0.0000 0.0000 x2
Pa 0.0000 0.2076 0.6325 x4
Mo 0.0000 0.5000 0.9219 x2

No. 3
The following is a computed X-ray diffraction stick pattern of PaMoSe2. It was derived from a cell relaxed with PBE, using copper Kα.
No peak broadening, texture or thermal motion is included.

The 10 most intense peaks (2θ = 15–90°), low angle first:
2θ (°)	Rel. int.	hkl
19.3	19.4	0 0 6
31.7	100.0	0 1 2
33.7	28.1	1 0 4
35.1	37.5	0 1 5
38.6	22.5	1 0 7
39.1	26.9	0 0 12
40.7	26.0	0 1 8
45.4	46.6	1 0 10
55.1	31.2	1 1 0
69.6	29.6	1 1 12

Crystal structure
Unit cell a=3.3326 b=3.3326 c=27.6460 alpha=90.00 beta=90.00 gamma=120.00
Space group R-3m (No. 166, hexagonal axes)
Symmetry-distinct sites (fractional):
Pa 0.0000 0.0000 0.0000 x3
Mo 0.0000 0.0000 0.5000 x3
Se 0.0000 0.0000 0.4115 x6

No. 4
The following is a computed X-ray diffraction stick pattern of PaSiMo2. It was derived from a cell relaxed with PBE, using copper Kα.
No peak broadening, texture or thermal motion is included.

The 10 most intense peaks (2θ = 15–90°), low angle first:
2θ (°)	Rel. int.	hkl
21.2	29.0	0 1 1
26.4	38.3	1 1 0
30.1	77.7	1 1 1
32.8	26.1	0 1 2
34.9	66.6	0 2 1
35.8	100.0	1 0 2
41.1	68.5	1 2 1
42.9	36.7	2 0 0
56.4	33.5	2 2 1
59.4	30.2	1 2 3

Crystal structure
Unit cell a=4.2177 b=5.6412 c=6.2388 alpha=90.00 beta=90.00 gamma=90.00
Space group Pmmn (No. 59, origin choice 2)
Symmetry-distinct sites (fractional):
Pa 0.2500 0.2500 0.0962 x2
Si 0.2500 0.7500 0.2480 x2
Mo 0.2500 0.5197 0.6235 x4

No. 5
The following is a computed X-ray diffraction stick pattern of Pa2Si4Mo3. It was derived from a cell relaxed with PBE, using copper Kα.
No peak broadening, texture or thermal motion is included.

The 10 most intense peaks (2θ = 15–90°), low angle first:
2θ (°)	Rel. int.	hkl
18.7	36.8	1 1 0
29.5	31.2	1 1 -2
30.3	43.8	1 2 -1
34.4	100.0	2 1 -2
36.9	76.0	2 2 -1
37.3	42.3	2 1 1
37.6	70.1	1 1 2
41.5	73.6	0 3 1
41.9	38.6	1 1 -3
63.9	32.7	3 3 -3

Crystal structure
Unit cell a=6.9329 b=6.9491 c=6.8072 alpha=90.00 beta=109.96 gamma=90.00
Space group P2_1/c (No. 14)
Symmetry-distinct sites (fractional):
Pa 0.1905 0.1666 0.0580 x4
Si 0.0916 0.5465 0.8710 x4
Si 0.4928 0.6339 0.6330 x4
Mo 0.2408 0.6615 0.2550 x4
Mo 0.5000 0.0000 0.5000 x2

No. 6
The following is a computed X-ray diffraction stick pattern of PaSi2Mo4. It was derived from a cell relaxed with PBE, using copper Kα.
No peak broadening, texture or thermal motion is included.

The 10 most intense peaks (2θ = 15–90°), low angle first:
2θ (°)	Rel. int.	hkl
21.4	17.9	1 1 0
24.8	15.1	0 2 1
29.0	14.0	1 3 0
34.7	13.5	0 4 1
35.8	100.0	1 3 1
41.1	24.1	2 0 0
41.7	23.1	0 0 2
60.0	15.6	2 0 2
71.4	13.2	3 3 1
72.3	12.7	1 3 3

Crystal structure
Unit cell a=4.3935 b=12.9181 c=4.3297 alpha=90.00 beta=90.00 gamma=90.00
Space group Cmmm (No. 65)
Symmetry-distinct sites (fractional):
Pa 0.0000 0.0000 0.0000 x2
Si 0.0000 0.4089 0.5000 x4
Mo 0.0000 0.1900 0.5000 x4
Mo 0.0000 0.3063 0.0000 x4

No. 7
The following is a computed X-ray diffraction stick pattern of Pa3Si8Mo3. It was derived from a cell relaxed with PBE, using copper Kα.
No peak broadening, texture or thermal motion is included.

The 10 most intense peaks (2θ = 15–90°), low angle first:
2θ (°)	Rel. int.	hkl
21.1	37.7	0 2 0
24.2	64.7	1 1 0
25.1	38.3	0 0 4
33.0	37.9	0 2 4
35.2	62.7	1 1 4
36.1	100.0	1 2 3
37.2	25.9	0 3 3
41.0	27.0	1 3 2
44.4	34.4	2 0 0
55.1	35.4	1 2 7

Crystal structure
Unit cell a=4.0833 b=8.4256 c=14.1730 alpha=90.00 beta=90.00 gamma=90.00
Space group Immm (No. 71)
Symmetry-distinct sites (fractional):
Pa 0.0000 0.0000 0.0000 x2
Pa 0.0000 0.0000 0.2819 x4
Si 0.0000 0.2880 0.1288 x8
Si 0.0000 0.3613 0.3544 x8
Mo 0.0000 0.1928 0.5000 x4
Mo 0.0000 0.5000 0.0000 x2

No. 8
The following is a computed X-ray diffraction stick pattern of PaTiSi2Mo. It was derived from a cell relaxed with PBE, using copper Kα.
No peak broadening, texture or thermal motion is included.

The 10 most intense peaks (2θ = 15–90°), low angle first:
2θ (°)	Rel. int.	hkl
23.9	63.6	1 0 1
31.6	24.3	0 0 4
32.8	54.0	1 0 3
35.9	100.0	1 1 2
46.0	30.2	2 0 0
46.2	27.3	1 0 5
56.9	18.4	2 0 4
57.6	22.3	2 1 3
67.2	18.2	2 1 5
78.4	20.6	3 1 2

Crystal structure
Unit cell a=3.9476 b=3.9476 c=11.3311 alpha=90.00 beta=90.00 gamma=90.00
Space group I-4m2 (No. 119)
Symmetry-distinct sites (fractional):
Pa 0.0000 0.0000 0.0000 x2
Ti 0.0000 0.5000 0.7500 x2
Si 0.0000 0.0000 0.3963 x4
Mo 0.0000 0.5000 0.2500 x2